[1]
Simulated X-ray diffraction stick pattern of Be2Ni5B for Cu Kα (weighted mean of Kα1 and Kα2), from a crystal structure in Alexandria, relaxed with GGA-PBE.
Intensities are scaled so that the largest is 100.

Largest 10 diffraction maxima, by intensity, 10 to 90 degrees two-theta:
- 47.57 deg, d 1.912, I 100, (2 1 1)
- 48.72 deg, d 1.869, I 95, (0 4 1)
- 37.85 deg, d 2.377, I 82, (1 2 1)
- 51.88 deg, d 1.762, I 55, (0 0 2)
- 49.60 deg, d 1.838, I 52, (2 3 0)
- 33.34 deg, d 2.688, I 51, (1 1 1)
- 36.01 deg, d 2.494, I 39, (1 3 0)
- 46.37 deg, d 1.958, I 31, (2 0 1)
- 74.61 deg, d 1.272, I 28, (2 3 2)
- 27.71 deg, d 3.219, I 27, (1 2 0)

Atomic structure:
```
data_Be2Ni5B
_chemical_formula_sum 'Be4 Ni10 B2'
_cell_length_a 4.710
_cell_length_b 8.819
_cell_length_c 3.525
_cell_angle_alpha 90.00
_cell_angle_beta 90.00
_cell_angle_gamma 90.00
_symmetry_space_group_name_H-M 'P b a m'
_symmetry_Int_Tables_number 55
loop_
_symmetry_equiv_pos_as_xyz
'x,y,z'
'-x,-y,-z'
'-x,-y,z'
'x,y,-z'
'x+1/2,-y+1/2,-z'
'-x+1/2,y+1/2,z'
'-x+1/2,y+1/2,-z'
'x+1/2,-y+1/2,z'
loop_
_atom_site_label
_atom_site_fract_x
_atom_site_fract_y
_atom_site_fract_z
_atom_site_occupancy
Be1 0.133 0.144 0.000 1
Ni1 0.000 0.000 0.500 1
Ni2 0.118 0.722 0.500 1
Ni3 0.169 0.399 0.000 1
B1 0.000 0.500 0.500 1
```

[2]
Simulated X-ray diffraction stick pattern of BeNi4B for Cu Kα (weighted mean of Kα1 and Kα2), from a crystal structure in Alexandria, relaxed with GGA-PBE.
Intensities are scaled so that the largest is 100.

Largest 10 diffraction maxima, by intensity, 10 to 90 degrees two-theta:
- 45.20 deg, d 2.006, I 100, (2 1 1)
- 42.37 deg, d 2.133, I 24, (0 0 2)
- 79.49 deg, d 1.206, I 17, (2 1 3)
- 35.32 deg, d 2.541, I 15, (2 0 0)
- 57.32 deg, d 1.607, I 13, (3 1 0)
- 81.23 deg, d 1.184, I 12, (4 1 1)
- 56.30 deg, d 1.634, I 11, (2 0 2)
- 24.77 deg, d 3.594, I 9, (1 1 0)
- 73.82 deg, d 1.284, I 8, (3 1 2)
- 49.70 deg, d 1.835, I 6, (1 1 2)

Atomic structure:
```
data_BeNi4B
_chemical_formula_sum 'Be2 Ni8 B2'
_cell_length_a 5.083
_cell_length_b 5.083
_cell_length_c 4.267
_cell_angle_alpha 90.00
_cell_angle_beta 90.00
_cell_angle_gamma 90.00
_symmetry_space_group_name_H-M 'P 4/m c c'
_symmetry_Int_Tables_number 124
_symmetry_space_group_name_Hall '-P 4 2c'
loop_
_atom_site_label
_atom_site_fract_x
_atom_site_fract_y
_atom_site_fract_z
_atom_site_occupancy
Be1 0.000 0.000 0.250 1
Ni1 0.174 0.348 0.000 1
B1 0.500 0.500 0.250 1
```

[3]
Simulated X-ray diffraction stick pattern of Np2BeB10 for Cu Kα (weighted mean of Kα1 and Kα2), from a crystal structure in Alexandria, relaxed with GGA-PBE.
Intensities are scaled so that the largest is 100.

Largest 10 diffraction maxima, by intensity, 10 to 90 degrees two-theta:
- 31.87 deg, d 2.808, I 100, (1 2 1)
- 23.06 deg, d 3.858, I 82, (1 2 0)
- 21.70 deg, d 4.096, I 57, (0 0 1)
- 39.84 deg, d 2.263, I 33, (0 4 1)
- 50.45 deg, d 1.809, I 31, (1 2 2)
- 33.00 deg, d 2.714, I 25, (0 4 0)
- 39.56 deg, d 2.278, I 20, (2 0 1)
- 40.46 deg, d 2.230, I 18, (2 1 1)
- 47.12 deg, d 1.929, I 17, (2 4 0)
- 32.67 deg, d 2.741, I 16, (2 0 0)

Atomic structure:
```
data_Np2BeB10
_chemical_formula_sum 'Np4 Be2 B20'
_cell_length_a 5.483
_cell_length_b 10.858
_cell_length_c 4.096
_cell_angle_alpha 90.00
_cell_angle_beta 90.00
_cell_angle_gamma 90.00
_symmetry_space_group_name_H-M 'P b a m'
_symmetry_Int_Tables_number 55
loop_
_symmetry_equiv_pos_as_xyz
'x,y,z'
'-x,-y,-z'
'-x,-y,z'
'x,y,-z'
'x+1/2,-y+1/2,-z'
'-x+1/2,y+1/2,z'
'-x+1/2,y+1/2,-z'
'x+1/2,-y+1/2,z'
loop_
_atom_site_label
_atom_site_fract_x
_atom_site_fract_y
_atom_site_fract_z
_atom_site_occupancy
Np1 0.191 0.136 0.000 1
Be1 0.000 0.500 0.500 1
B1 0.020 0.316 0.500 1
B2 0.130 0.962 0.500 1
B3 0.164 0.802 0.500 1
B4 0.195 0.389 0.199 1
```

[4]
Simulated X-ray diffraction stick pattern of NpBeB2O6 for Cu Kα (weighted mean of Kα1 and Kα2), from a crystal structure in Alexandria, relaxed with GGA-PBE.
Intensities are scaled so that the largest is 100.

Largest 10 diffraction maxima, by intensity, 10 to 90 degrees two-theta:
- 22.69 deg, d 3.920, I 100, (1 0 1)
- 24.87 deg, d 3.580, I 74, (0 1 2)
- 32.24 deg, d 2.777, I 67, (1 0 4)
- 17.46 deg, d 5.079, I 52, (0 0 3)
- 42.51 deg, d 2.127, I 50, (2 -1 3)
- 53.18 deg, d 1.722, I 47, (1 1 6)
- 36.89 deg, d 2.436, I 39, (0 1 5)
- 38.44 deg, d 2.342, I 25, (1 1 0)
- 45.10 deg, d 2.010, I 24, (0 2 1)
- 46.33 deg, d 1.960, I 20, (2 0 2)

Atomic structure:
```
data_NpBeB2O6
_chemical_formula_sum 'Np3 Be3 B6 O18'
_cell_length_a 4.6836
_cell_length_b 4.6836
_cell_length_c 15.2375
_cell_angle_alpha 90.00
_cell_angle_beta 90.00
_cell_angle_gamma 120.00
_symmetry_space_group_name_H-M 'R -3'
_symmetry_Int_Tables_number 148
_symmetry_space_group_name_Hall '-R 3'
loop_
_atom_site_label
_atom_site_fract_x
_atom_site_fract_y
_atom_site_fract_z
_atom_site_occupancy
Np1 0.0000 0.0000 0.0000 1
Be1 0.0000 0.0000 0.5000 1
B1 0.0000 0.0000 0.2367 1
O1 0.0185 0.6236 0.9073 1
```

[5]
Simulated X-ray diffraction stick pattern of Be2BO4 for Cu Kα (weighted mean of Kα1 and Kα2), from a crystal structure in Alexandria, relaxed with GGA-PBE.
Intensities are scaled so that the largest is 100.

Largest 10 diffraction maxima, by intensity, 10 to 90 degrees two-theta:
- 23.13 deg, d 3.845, I 100, (0 2 2)
- 19.74 deg, d 4.497, I 46, (0 2 1)
- 28.10 deg, d 3.175, I 42, (1 2 1)
- 27.93 deg, d 3.195, I 35, (0 2 3)
- 41.97 deg, d 2.153, I 27, (2 1 1)
- 40.54 deg, d 2.225, I 27, (1 3 3)
- 27.79 deg, d 3.210, I 21, (0 0 4)
- 41.61 deg, d 2.171, I 21, (1 1 5)
- 34.47 deg, d 2.602, I 18, (1 2 3)
- 44.81 deg, d 2.022, I 18, (1 3 4)

Atomic structure:
```
data_Be2BO4
_chemical_formula_sum 'Be16 B8 O32'
_cell_length_a 4.485
_cell_length_b 9.602
_cell_length_c 12.839
_cell_angle_alpha 90.00
_cell_angle_beta 90.00
_cell_angle_gamma 90.00
_symmetry_space_group_name_H-M 'P b c a'
_symmetry_Int_Tables_number 61
loop_
_symmetry_equiv_pos_as_xyz
'x,y,z'
'-x,-y,-z'
'-x+1/2,-y,z+1/2'
'x+1/2,y,-z+1/2'
'x+1/2,-y+1/2,-z'
'-x+1/2,y+1/2,z'
'-x,y+1/2,-z+1/2'
'x,-y+1/2,z+1/2'
loop_
_atom_site_label
_atom_site_fract_x
_atom_site_fract_y
_atom_site_fract_z
_atom_site_occupancy
Be1 0.231 0.245 0.066 1
Be2 0.244 0.014 0.192 1
B1 0.237 0.119 0.386 1
O1 0.071 0.616 0.111 1
O2 0.110 0.694 0.460 1
O3 0.113 0.547 0.309 1
O4 0.197 0.144 0.659 1
```

[6]
Simulated X-ray diffraction stick pattern of Be2BO5 for Cu Kα (weighted mean of Kα1 and Kα2), from a crystal structure in Alexandria, relaxed with GGA-PBE.
Intensities are scaled so that the largest is 100.

Largest 10 diffraction maxima, by intensity, 10 to 90 degrees two-theta:
- 17.80 deg, d 4.984, I 100, (0 0 1)
- 36.04 deg, d 2.492, I 58, (0 0 2)
- 30.48 deg, d 2.933, I 42, (1 1 1)
- 26.97 deg, d 3.306, I 40, (2 0 -1)
- 40.68 deg, d 2.218, I 39, (0 2 0)
- 44.76 deg, d 2.025, I 24, (0 2 1)
- 42.26 deg, d 2.138, I 22, (3 1 -1)
- 47.03 deg, d 1.932, I 21, (3 1 1)
- 23.13 deg, d 3.846, I 14, (2 0 0)
- 74.06 deg, d 1.280, I 10, (3 3 0)

Atomic structure:
```
data_Be2BO5
_chemical_formula_sum 'Be4 B2 O10'
_cell_length_a 7.789
_cell_length_b 4.432
_cell_length_c 5.047
_cell_angle_alpha 90.00
_cell_angle_beta 99.04
_cell_angle_gamma 90.00
_symmetry_space_group_name_H-M 'C 1 2 1'
_symmetry_Int_Tables_number 5
loop_
_symmetry_equiv_pos_as_xyz
'x,y,z'
'-x,y,-z'
'x+1/2,y+1/2,z'
'-x+1/2,y+1/2,-z'
loop_
_atom_site_label
_atom_site_fract_x
_atom_site_fract_y
_atom_site_fract_z
_atom_site_occupancy
Be1 0.177 0.000 0.100 1
B1 0.000 0.502 0.000 1
O1 0.000 0.190 0.000 1
O2 0.152 0.656 0.989 1
O3 0.200 0.001 0.432 1
```

[7]
Simulated X-ray diffraction stick pattern of PaBeBO6 for Cu Kα (weighted mean of Kα1 and Kα2), from a crystal structure in Alexandria, relaxed with GGA-PBE.
Intensities are scaled so that the largest is 100.

Largest 10 diffraction maxima, by intensity, 10 to 90 degrees two-theta:
- 29.55 deg, d 3.023, I 100, (1 0 1)
- 22.34 deg, d 3.980, I 73, (1 0 0)
- 43.96 deg, d 2.060, I 34, (1 1 1)
- 45.18 deg, d 2.007, I 30, (1 0 2)
- 19.09 deg, d 4.648, I 27, (0 0 1)
- 56.30 deg, d 1.634, I 23, (2 -1 2)
- 49.85 deg, d 1.829, I 22, (2 0 1)
- 65.18 deg, d 1.431, I 21, (3 -1 1)
- 45.59 deg, d 1.990, I 17, (2 0 0)
- 39.21 deg, d 2.298, I 16, (1 1 0)

Atomic structure:
```
data_PaBeBO6
_chemical_formula_sum 'Pa1 Be1 B1 O6'
_cell_length_a 4.5957
_cell_length_b 4.5957
_cell_length_c 4.6480
_cell_angle_alpha 90.00
_cell_angle_beta 90.00
_cell_angle_gamma 120.00
_symmetry_space_group_name_H-M 'P 3 1 2'
_symmetry_Int_Tables_number 149
loop_
_symmetry_equiv_pos_as_xyz
'x,y,z'
'-y,x-y,z'
'-x+y,-x,z'
'-y,-x,-z'
'-x+y,y,-z'
'x,x-y,-z'
loop_
_atom_site_label
_atom_site_fract_x
_atom_site_fract_y
_atom_site_fract_z
_atom_site_occupancy
Pa1 0.0000 0.0000 0.0000 1
Be1 0.6667 0.3333 0.5000 1
B1 0.3333 0.6667 0.5000 1
O1 0.0198 0.3804 0.7084 1
```

[8]
Simulated X-ray diffraction stick pattern of RbBe2B3O7 for Cu Kα (weighted mean of Kα1 and Kα2), from a crystal structure in Alexandria, relaxed with GGA-PBE.
Intensities are scaled so that the largest is 100.

Largest 10 diffraction maxima, by intensity, 10 to 90 degrees two-theta:
- 27.54 deg, d 3.238, I 100, (1 3 1)
- 31.03 deg, d 2.882, I 70, (2 1 1)
- 32.05 deg, d 2.793, I 50, (1 6 0)
- 15.09 deg, d 5.872, I 47, (1 2 0)
- 23.64 deg, d 3.764, I 38, (1 1 1)
- 39.78 deg, d 2.266, I 31, (2 5 1)
- 29.84 deg, d 2.995, I 24, (0 6 0)
- 22.90 deg, d 3.884, I 23, (2 0 0)
- 36.14 deg, d 2.486, I 22, (3 2 0)
- 40.69 deg, d 2.217, I 21, (0 0 2)

Atomic structure:
```
data_RbBe2B3O7
_chemical_formula_sum 'Rb4 Be8 B12 O28'
_cell_length_a 7.760
_cell_length_b 17.967
_cell_length_c 4.434
_cell_angle_alpha 90.00
_cell_angle_beta 90.00
_cell_angle_gamma 90.00
_symmetry_space_group_name_H-M 'P m n 21'
_symmetry_Int_Tables_number 31
loop_
_symmetry_equiv_pos_as_xyz
'x,y,z'
'-x+1/2,-y,z+1/2'
'-x,y,z'
'x+1/2,-y,z+1/2'
loop_
_atom_site_label
_atom_site_fract_x
_atom_site_fract_y
_atom_site_fract_z
_atom_site_occupancy
Rb1 0.000 0.143 0.000 1
Rb2 0.000 0.649 0.470 1
Be1 0.176 0.463 0.400 1
Be2 0.187 0.960 0.982 1
B1 0.000 0.491 0.903 1
B2 0.000 0.982 0.484 1
B3 0.158 0.818 0.065 1
B4 0.165 0.307 0.473 1
O1 0.000 0.275 0.504 1
O2 0.000 0.488 0.214 1
O3 0.000 0.831 0.209 1
O4 0.000 0.975 0.796 1
O5 0.155 0.494 0.749 1
O6 0.156 0.988 0.333 1
O7 0.199 0.742 0.035 1
O8 0.207 0.376 0.399 1
O9 0.245 0.125 0.470 1
```